Structure and computed XRD peak list of AcMnSe2O8 (a structure optimized by DFT (GGA+U); copper Kα).
Intensities are scaled so that the largest is 100.

Structure:
```
data_AcMnSe2O8
_chemical_formula_sum 'Ac2 Mn2 Se4 O16'
_symmetry_space_group_name_H-M 'I -4 m 2'
_symmetry_Int_Tables_number 119
_symmetry_space_group_name_Hall 'I -4 -2'
_cell_length_a 7.3939
_cell_length_b 7.3939
_cell_length_c 6.6903
_cell_angle_alpha 90.00
_cell_angle_beta 90.00
_cell_angle_gamma 90.00
loop_
_atom_site_label
_atom_site_fract_x
_atom_site_fract_y
_atom_site_fract_z
Ac1 0.0000 0.0000 0.0000
Mn1 0.0000 0.5000 0.7500
Se1 0.0000 0.0000 0.5000
Se2 0.0000 0.5000 0.2500
O1 0.0000 0.1916 0.6718
O2 0.0000 0.3278 0.0894
```

Main lines, sorted by position (10° ≤ 2θ ≤ 90°):
16.96 deg, rel. 24.0
17.88 deg, rel. 33.1
24.07 deg, rel. 100.0
30.15 deg, rel. 17.3
31.76 deg, rel. 77.3
34.30 deg, rel. 22.9
47.44 deg, rel. 61.6
49.29 deg, rel. 21.3
55.59 deg, rel. 16.4
59.84 deg, rel. 17.7